(1)
Theoretical powder diffraction line list
Compound: Pr2HoPt
Radiation: Cu Kα, 1.54184 Å
Structure: a DFT-relaxed cell (GGA-PBE, Alexandria)
Kinematic intensities with the Lorentz-polarization factor, no thermal factor.

The 10 most intense peaks (2θ = 10–90°), by angle:
2θ (°)  Rel. int.
15.41  28
24.27  40
29.56  43
29.86  100
30.57  22
37.94  33
38.18  50
46.52  36
47.13  17
49.41  26

Cell: 6.791 6.627 11.570 Å, 90.00 90.00 90.00°
Fractional coordinates of all 16 atoms:
Pr  0.086  0.234  0.087
Pr  0.086  0.266  0.413
Pr  0.414  0.734  0.413
Pr  0.414  0.766  0.087
Pr  0.586  0.234  0.913
Pr  0.586  0.266  0.587
Pr  0.914  0.734  0.587
Pr  0.914  0.766  0.913
Ho  0.059  0.250  0.750
Ho  0.441  0.750  0.750
Ho  0.559  0.250  0.250
Ho  0.941  0.750  0.250
Pt  0.250  0.000  0.596
Pt  0.250  0.500  0.904
Pt  0.750  0.000  0.404
Pt  0.750  0.500  0.096

(2)
Theoretical powder diffraction line list
Compound: Pr2Ho2Pt3
Radiation: Cu Kα, 1.54184 Å
Structure: a DFT-relaxed cell (GGA-PBE, Alexandria)
Kinematic intensities with the Lorentz-polarization factor, no thermal factor.

The 10 most intense peaks (2θ = 10–90°), by angle:
2θ (°)  Rel. int.
31.82  100
37.86  55
45.62  16
47.99  13
50.27  11
52.47  26
64.61  26
66.50  10
68.37  12
79.15  20

Cell: 7.701 7.701 7.701 Å, 109.47 109.47 109.47°
Fractional coordinates of all 14 atoms:
Pr  0.000  0.373  0.500
Pr  0.127  0.127  0.127
Pr  0.373  0.500  0.000
Pr  0.500  0.000  0.373
Ho  0.000  0.877  0.500
Ho  0.500  0.000  0.877
Ho  0.623  0.623  0.623
Ho  0.877  0.500  0.000
Pt  0.112  0.750  0.862
Pt  0.250  0.638  0.388
Pt  0.388  0.250  0.638
Pt  0.638  0.388  0.250
Pt  0.750  0.862  0.112
Pt  0.862  0.112  0.750

(3)
Theoretical powder diffraction line list
Compound: PrHoSi2Pt2
Radiation: Cu Kα, 1.54184 Å
Structure: a DFT-relaxed cell (GGA-PBE, Alexandria)
Kinematic intensities with the Lorentz-polarization factor, no thermal factor.

The 10 most intense peaks (2θ = 10–90°), by angle:
2θ (°)  Rel. int.
26.92  47
32.84  100
41.03  16
43.43  61
51.82  8
55.48  23
61.29  9
63.14  28
72.96  20
73.09  10

Cell: 4.169 4.169 8.322 Å, 90.00 90.00 120.00°
Fractional coordinates of all 6 atoms:
Pr  0.000  0.000  0.000
Ho  0.000  0.000  0.500
Si  0.333  0.667  0.257
Si  0.667  0.333  0.743
Pt  0.333  0.667  0.733
Pt  0.667  0.333  0.267

(4)
Theoretical powder diffraction line list
Compound: PrHoSi2Pt5
Radiation: Cu Kα, 1.54184 Å
Structure: a DFT-relaxed cell (GGA-PBE, Alexandria)
Kinematic intensities with the Lorentz-polarization factor, no thermal factor.

The 10 most intense peaks (2θ = 10–90°), by angle:
2θ (°)  Rel. int.
19.76  5
23.14  6
35.94  100
40.13  17
42.53  39
59.90  21
61.71  12
70.20  14
73.53  25
76.20  10

Cell: 4.252 4.252 8.987 Å, 90.00 90.00 90.00°
Fractional coordinates of all 9 atoms:
Pr  0.000  0.000  0.000
Ho  0.000  0.000  0.500
Si  0.500  0.500  0.369
Si  0.500  0.500  0.631
Pt  0.000  0.500  0.243
Pt  0.000  0.500  0.757
Pt  0.500  0.000  0.243
Pt  0.500  0.000  0.757
Pt  0.500  0.500  0.000

(5)
Theoretical powder diffraction line list
Compound: PrHoZnPt
Radiation: Cu Kα, 1.54184 Å
Structure: a DFT-relaxed cell (GGA-PBE, Alexandria)
Kinematic intensities with the Lorentz-polarization factor, no thermal factor.

The 10 most intense peaks (2θ = 10–90°), by angle:
2θ (°)  Rel. int.
16.03  21
31.52  100
32.37  24
33.37  31
38.36  28
39.22  63
40.69  28
46.34  20
53.60  16
78.18  16

Cell: 4.435 5.867 5.867 Å, 39.01 90.00 90.00°
Fractional coordinates of all 4 atoms:
Pr  0.000  0.000  0.000
Ho  0.500  0.718  0.718
Zn  0.500  0.427  0.427
Pt  0.000  0.279  0.279

(6)
Theoretical powder diffraction line list
Compound: PrHo3Rh8
Radiation: Cu Kα, 1.54184 Å
Structure: a DFT-relaxed cell (GGA-PBE, Alexandria)
Kinematic intensities with the Lorentz-polarization factor, no thermal factor.

The 10 most intense peaks (2θ = 10–90°), by angle:
2θ (°)  Rel. int.
33.50  44
36.35  89
38.87  13
39.46  100
40.26  79
61.75  36
63.91  24
66.92  30
70.39  27
81.89  17

Cell: 5.350 5.350 8.767 Å, 90.00 90.00 120.00°
Fractional coordinates of all 12 atoms:
Pr  0.000  0.000  0.000
Ho  0.000  0.000  0.367
Ho  0.667  0.333  0.498
Ho  0.667  0.333  0.863
Rh  0.165  0.330  0.679
Rh  0.165  0.835  0.679
Rh  0.333  0.667  0.432
Rh  0.333  0.667  0.931
Rh  0.502  0.004  0.186
Rh  0.502  0.498  0.186
Rh  0.670  0.835  0.679
Rh  0.996  0.498  0.186

(7)
Theoretical powder diffraction line list
Compound: PrHo2Rh3
Radiation: Cu Kα, 1.54184 Å
Structure: a DFT-relaxed cell (GGA-PBE, Alexandria)
Kinematic intensities with the Lorentz-polarization factor, no thermal factor.

The 10 most intense peaks (2θ = 10–90°), by angle:
2θ (°)  Rel. int.
25.71  9
36.60  100
36.75  100
52.84  35
65.80  17
66.12  53
77.81  11
78.16  11
89.28  16
89.54  16

Cell: 4.892 4.892 6.025 Å, 90.00 90.00 120.00°
Fractional coordinates of all 6 atoms:
Pr  0.000  0.000  0.000
Ho  0.333  0.667  0.662
Ho  0.667  0.333  0.338
Rh  0.000  0.000  0.500
Rh  0.333  0.667  0.180
Rh  0.667  0.333  0.820

(8)
Theoretical powder diffraction line list
Compound: PrHo2Rh
Radiation: Cu Kα, 1.54184 Å
Structure: a DFT-relaxed cell (GGA-PBE, Alexandria)
Kinematic intensities with the Lorentz-polarization factor, no thermal factor.

The 10 most intense peaks (2θ = 10–90°), by angle:
2θ (°)  Rel. int.
30.68  32
31.08  95
31.97  99
32.17  53
33.57  100
34.91  34
37.83  63
47.86  32
57.98  40
58.70  50

Cell: 6.416 6.416 9.441 Å, 90.00 90.00 145.54°
Fractional coordinates of all 8 atoms:
Pr  0.072  0.928  0.750
Pr  0.928  0.072  0.250
Ho  0.359  0.641  0.568
Ho  0.359  0.641  0.932
Ho  0.641  0.359  0.068
Ho  0.641  0.359  0.432
Rh  0.240  0.760  0.250
Rh  0.760  0.240  0.750

(9)
Theoretical powder diffraction line list
Compound: PrHoZnRu
Radiation: Cu Kα, 1.54184 Å
Structure: a DFT-relaxed cell (GGA-PBE, Alexandria)
Kinematic intensities with the Lorentz-polarization factor, no thermal factor.

The 10 most intense peaks (2θ = 10–90°), by angle:
2θ (°)  Rel. int.
26.54  19
31.47  100
33.39  62
39.58  73
41.99  26
44.81  22
54.67  30
63.08  15
64.98  13
80.43  14

Cell: 4.304 5.741 5.741 Å, 41.26 90.00 90.00°
Fractional coordinates of all 4 atoms:
Pr  0.000  0.000  0.000
Ho  0.500  0.283  0.283
Zn  0.500  0.582  0.582
Ru  0.000  0.725  0.725

(10)
Theoretical powder diffraction line list
Compound: Pr3Ho5S8
Radiation: Cu Kα, 1.54184 Å
Structure: a DFT-relaxed cell (GGA-PBE, Alexandria)
Kinematic intensities with the Lorentz-polarization factor, no thermal factor.

The 10 most intense peaks (2θ = 10–90°), by angle:
2θ (°)  Rel. int.
27.13  21
27.64  59
31.88  100
45.38  37
46.03  35
54.25  20
57.08  18
75.28  16
76.25  16
84.78  12

Cell: 7.996 7.996 7.996 Å, 59.10 59.10 59.10°
Fractional coordinates of all 16 atoms:
Pr  0.000  0.500  0.500
Pr  0.500  0.000  0.500
Pr  0.500  0.500  0.000
Ho  0.000  0.000  0.000
Ho  0.000  0.000  0.500
Ho  0.000  0.500  0.000
Ho  0.500  0.000  0.000
Ho  0.500  0.500  0.500
S  0.236  0.750  0.750
S  0.243  0.243  0.243
S  0.250  0.250  0.764
S  0.250  0.764  0.250
S  0.750  0.236  0.750
S  0.750  0.750  0.236
S  0.757  0.757  0.757
S  0.764  0.250  0.250

(11)
Theoretical powder diffraction line list
Compound: PrHo2S4
Radiation: Cu Kα, 1.54184 Å
Structure: a DFT-relaxed cell (GGA-PBE, Alexandria)
Kinematic intensities with the Lorentz-polarization factor, no thermal factor.

The 10 most intense peaks (2θ = 10–90°), by angle:
2θ (°)  Rel. int.
25.05  38
25.79  100
27.22  68
27.45  35
30.70  29
37.50  37
38.19  23
38.73  22
46.78  25
54.18  27

Cell: 11.858 3.884 14.222 Å, 90.00 90.00 90.00°
Fractional coordinates of all 28 atoms:
Pr  0.243  0.250  0.167
Pr  0.257  0.750  0.667
Pr  0.743  0.250  0.333
Pr  0.757  0.750  0.833
Ho  0.065  0.250  0.390
Ho  0.089  0.250  0.904
Ho  0.411  0.750  0.404
Ho  0.435  0.750  0.890
Ho  0.565  0.250  0.110
Ho  0.589  0.250  0.596
Ho  0.911  0.750  0.096
Ho  0.935  0.750  0.610
S  0.031  0.750  0.783
S  0.094  0.250  0.579
S  0.131  0.750  0.035
S  0.203  0.750  0.320
S  0.297  0.250  0.820
S  0.369  0.250  0.535
S  0.406  0.750  0.079
S  0.469  0.250  0.283
S  0.531  0.750  0.717
S  0.594  0.250  0.921
S  0.631  0.750  0.465
S  0.703  0.750  0.180
S  0.797  0.250  0.680
S  0.869  0.250  0.965
S  0.906  0.750  0.421
S  0.969  0.250  0.217

(12)
Theoretical powder diffraction line list
Compound: PrHoS2
Radiation: Cu Kα, 1.54184 Å
Structure: a DFT-relaxed cell (GGA-PBE, Alexandria)
Kinematic intensities with the Lorentz-polarization factor, no thermal factor.

The 10 most intense peaks (2θ = 10–90°), by angle:
2θ (°)  Rel. int.
26.78  21
27.52  58
31.67  100
44.92  37
45.79  12
45.90  23
53.07  11
53.94  13
56.76  12
66.14  11

Cell: 3.954 3.954 7.041 Å, 106.35 106.35 60.15°
Fractional coordinates of all 4 atoms:
Pr  0.000  0.000  0.000
Ho  0.500  0.500  0.500
S  0.243  0.243  0.728
S  0.757  0.757  0.272

(13)
Theoretical powder diffraction line list
Compound: PrHo4S7
Radiation: Cu Kα, 1.54184 Å
Structure: a DFT-relaxed cell (GGA-PBE, Alexandria)
Kinematic intensities with the Lorentz-polarization factor, no thermal factor.

The 10 most intense peaks (2θ = 10–90°), by angle:
2θ (°)  Rel. int.
23.62  91
24.32  100
26.16  31
27.48  40
31.33  41
33.00  47
33.99  39
41.76  28
43.07  29
47.08  33

Cell: 6.769 6.769 11.686 Å, 103.80 103.80 32.77°
Fractional coordinates of all 12 atoms:
Pr  0.000  0.000  0.000
Ho  0.113  0.113  0.422
Ho  0.223  0.223  0.836
Ho  0.411  0.411  0.604
Ho  0.812  0.812  0.235
S  0.067  0.067  0.633
S  0.158  0.158  0.212
S  0.361  0.361  0.069
S  0.455  0.455  0.370
S  0.616  0.616  0.912
S  0.771  0.771  0.470
S  0.849  0.849  0.765